No. 1
The following is a theoretical powder XRD pattern of MgMnSiO4. It was derived from a structure optimized by DFT (PBE+U), using CuKα.
Peak positions follow from Bragg's law for the DFT cell and can differ from measured ones.

Cell and atoms:
```
data_MgMnSiO4
_chemical_formula_sum 'Mg4 Mn4 Si4 O16'
_space_group_name_H-M_alt 'P 1'
_space_group_IT_number 1
_cell_length_a 10.673
_cell_length_b 6.213
_cell_length_c 4.843
_cell_angle_alpha 90.00
_cell_angle_beta 90.00
_cell_angle_gamma 90.00
loop_
_space_group_symop_operation_xyz
'x,y,z'
loop_
_atom_site_label
_atom_site_type_symbol
_atom_site_fract_x
_atom_site_fract_y
_atom_site_fract_z
_atom_site_occupancy
Mg1 Mg 0.000 0.000 0.000 1
Mg2 Mg 0.000 0.500 0.000 1
Mg3 Mg 0.500 0.000 0.500 1
Mg4 Mg 0.500 0.500 0.500 1
Mn1 Mn 0.221 0.250 0.487 1
Mn2 Mn 0.279 0.750 0.987 1
Mn3 Mn 0.721 0.250 0.013 1
Mn4 Mn 0.779 0.750 0.513 1
Si1 Si 0.090 0.750 0.422 1
Si2 Si 0.410 0.250 0.922 1
Si3 Si 0.590 0.750 0.078 1
Si4 Si 0.910 0.250 0.578 1
O1 O 0.050 0.250 0.733 1
O2 O 0.085 0.750 0.759 1
O3 O 0.158 0.538 0.277 1
O4 O 0.158 0.962 0.277 1
O5 O 0.342 0.038 0.777 1
O6 O 0.342 0.462 0.777 1
O7 O 0.415 0.250 0.259 1
O8 O 0.450 0.750 0.233 1
O9 O 0.550 0.250 0.767 1
O10 O 0.585 0.750 0.741 1
O11 O 0.658 0.538 0.223 1
O12 O 0.658 0.962 0.223 1
O13 O 0.842 0.038 0.723 1
O14 O 0.842 0.462 0.723 1
O15 O 0.915 0.250 0.241 1
O16 O 0.950 0.750 0.267 1
```

Peak list (10 most intense, 2θ from 10° to 80°, by angle)
| two_theta | I/Imax |
| --- | --- |
| 24.76 | 92 |
| 28.74 | 38 |
| 31.20 | 51 |
| 34.45 | 100 |
| 35.34 | 56 |
| 50.77 | 61 |
| 50.92 | 23 |
| 54.67 | 24 |
| 59.51 | 22 |
| 59.92 | 27 |

---

No. 2
The following is a theoretical powder XRD pattern of Mg6MnSiO8. It was derived from a structure optimized by DFT (PBE+U), using CuKα.
Peak positions follow from Bragg's law for the DFT cell and can differ from measured ones.

Cell and atoms:
```
data_Mg6MnSiO8
_chemical_formula_sum 'Mg6 Mn1 Si1 O8'
_space_group_name_H-M_alt 'P 1'
_space_group_IT_number 1
_cell_length_a 4.360
_cell_length_b 4.360
_cell_length_c 8.690
_cell_angle_alpha 90.00
_cell_angle_beta 90.00
_cell_angle_gamma 90.00
loop_
_space_group_symop_operation_xyz
'x,y,z'
loop_
_atom_site_label
_atom_site_type_symbol
_atom_site_fract_x
_atom_site_fract_y
_atom_site_fract_z
_atom_site_occupancy
Mg1 Mg 0.000 0.000 0.000 1
Mg2 Mg 0.000 0.000 0.500 1
Mg3 Mg 0.000 0.500 0.249 1
Mg4 Mg 0.000 0.500 0.751 1
Mg5 Mg 0.500 0.000 0.249 1
Mg6 Mg 0.500 0.000 0.751 1
Mn1 Mn 0.500 0.500 0.000 1
Si1 Si 0.500 0.500 0.500 1
O1 O 0.000 0.000 0.250 1
O2 O 0.000 0.000 0.750 1
O3 O 0.000 0.500 0.000 1
O4 O 0.000 0.500 0.500 1
O5 O 0.500 0.000 0.000 1
O6 O 0.500 0.000 0.500 1
O7 O 0.500 0.500 0.247 1
O8 O 0.500 0.500 0.753 1
```

Peak list (10 most intense, 2θ from 10° to 80°, by angle)
| two_theta | I/Imax |
| --- | --- |
| 10.18 | 9 |
| 20.39 | 9 |
| 29.00 | 7 |
| 35.71 | 26 |
| 41.42 | 100 |
| 41.57 | 49 |
| 60.02 | 29 |
| 60.13 | 57 |
| 71.84 | 10 |
| 75.65 | 26 |

---

No. 3
The following is a theoretical powder XRD pattern of MgMnSi2O6. It was derived from a structure optimized by DFT (PBE+U), using CuKα.
Peak positions follow from Bragg's law for the DFT cell and can differ from measured ones.

Cell and atoms:
```
data_MgMnSi2O6
_chemical_formula_sum 'Mg2 Mn2 Si4 O12'
_space_group_name_H-M_alt 'P 1'
_space_group_IT_number 1
_cell_length_a 6.882
_cell_length_b 6.882
_cell_length_c 5.474
_cell_angle_alpha 105.69
_cell_angle_beta 105.69
_cell_angle_gamma 85.44
loop_
_space_group_symop_operation_xyz
'x,y,z'
loop_
_atom_site_label
_atom_site_type_symbol
_atom_site_fract_x
_atom_site_fract_y
_atom_site_fract_z
_atom_site_occupancy
Mg1 Mg 0.242 0.758 0.750 1
Mg2 Mg 0.758 0.242 0.250 1
Mn1 Mn 0.105 0.895 0.250 1
Mn2 Mn 0.895 0.105 0.750 1
Si1 Si 0.212 0.384 0.290 1
Si2 Si 0.384 0.212 0.790 1
Si3 Si 0.616 0.788 0.210 1
Si4 Si 0.788 0.616 0.710 1
O1 O 0.030 0.217 0.168 1
O2 O 0.143 0.618 0.372 1
O3 O 0.217 0.030 0.668 1
O4 O 0.346 0.353 0.073 1
O5 O 0.353 0.346 0.573 1
O6 O 0.382 0.857 0.128 1
O7 O 0.618 0.143 0.872 1
O8 O 0.647 0.654 0.427 1
O9 O 0.654 0.647 0.927 1
O10 O 0.783 0.970 0.332 1
O11 O 0.857 0.382 0.628 1
O12 O 0.970 0.783 0.832 1
```

Peak list (10 most intense, 2θ from 10° to 80°, by angle)
| two_theta | I/Imax |
| --- | --- |
| 13.36 | 36 |
| 26.91 | 18 |
| 28.07 | 100 |
| 30.08 | 59 |
| 33.25 | 23 |
| 35.26 | 33 |
| 40.07 | 29 |
| 53.95 | 18 |
| 54.08 | 22 |
| 66.19 | 22 |

---

No. 4
The following is a theoretical powder XRD pattern of Mg6MnSiO8. It was derived from a structure optimized by DFT (PBE+U), using CuKα.
Peak positions follow from Bragg's law for the DFT cell and can differ from measured ones.

Cell and atoms:
```
data_Mg6MnSiO8
_chemical_formula_sum 'Mg6 Mn1 Si1 O8'
_space_group_name_H-M_alt 'P 1'
_space_group_IT_number 1
_cell_length_a 4.349
_cell_length_b 4.349
_cell_length_c 8.732
_cell_angle_alpha 90.00
_cell_angle_beta 90.00
_cell_angle_gamma 90.00
loop_
_space_group_symop_operation_xyz
'x,y,z'
loop_
_atom_site_label
_atom_site_type_symbol
_atom_site_fract_x
_atom_site_fract_y
_atom_site_fract_z
_atom_site_occupancy
Mg1 Mg 0.000 0.000 0.000 1
Mg2 Mg 0.000 0.500 0.244 1
Mg3 Mg 0.000 0.500 0.756 1
Mg4 Mg 0.500 0.000 0.244 1
Mg5 Mg 0.500 0.000 0.756 1
Mg6 Mg 0.500 0.500 0.000 1
Mn1 Mn 0.000 0.000 0.500 1
Si1 Si 0.500 0.500 0.500 1
O1 O 0.000 0.000 0.242 1
O2 O 0.000 0.000 0.758 1
O3 O 0.000 0.500 0.000 1
O4 O 0.000 0.500 0.500 1
O5 O 0.500 0.000 0.000 1
O6 O 0.500 0.000 0.500 1
O7 O 0.500 0.500 0.238 1
O8 O 0.500 0.500 0.762 1
```

Peak list (10 most intense, 2θ from 10° to 80°, by angle)
| two_theta | I/Imax |
| --- | --- |
| 10.13 | 8 |
| 20.38 | 7 |
| 22.84 | 6 |
| 35.71 | 26 |
| 41.36 | 50 |
| 41.52 | 100 |
| 60.05 | 57 |
| 60.18 | 29 |
| 71.98 | 10 |
| 75.65 | 26 |

---

No. 5
The following is a theoretical powder XRD pattern of Mg3Mn2Si4O14. It was derived from a structure optimized by DFT (PBE+U), using CuKα.
Peak positions follow from Bragg's law for the DFT cell and can differ from measured ones.

Cell and atoms:
```
data_Mg3Mn2Si4O14
_chemical_formula_sum 'Mg6 Mn4 Si8 O28'
_space_group_name_H-M_alt 'P 1'
_space_group_IT_number 1
_cell_length_a 9.355
_cell_length_b 9.355
_cell_length_c 9.949
_cell_angle_alpha 121.05
_cell_angle_beta 121.05
_cell_angle_gamma 48.25
loop_
_space_group_symop_operation_xyz
'x,y,z'
loop_
_atom_site_label
_atom_site_type_symbol
_atom_site_fract_x
_atom_site_fract_y
_atom_site_fract_z
_atom_site_occupancy
Mg1 Mg 0.109 0.891 0.750 1
Mg2 Mg 0.237 0.426 0.611 1
Mg3 Mg 0.426 0.237 0.111 1
Mg4 Mg 0.574 0.763 0.889 1
Mg5 Mg 0.763 0.574 0.389 1
Mg6 Mg 0.891 0.109 0.250 1
Mn1 Mn 0.287 0.713 0.250 1
Mn2 Mn 0.500 0.500 0.000 1
Mn3 Mn 0.500 0.500 0.500 1
Mn4 Mn 0.713 0.287 0.750 1
Si1 Si 0.013 0.749 0.894 1
Si2 Si 0.048 0.580 0.295 1
Si3 Si 0.251 0.987 0.606 1
Si4 Si 0.420 0.952 0.205 1
Si5 Si 0.580 0.048 0.795 1
Si6 Si 0.749 0.013 0.394 1
Si7 Si 0.952 0.420 0.705 1
Si8 Si 0.987 0.251 0.106 1
O1 O 0.000 0.427 0.124 1
O2 O 0.000 0.573 0.876 1
O3 O 0.019 0.581 0.441 1
O4 O 0.043 0.866 0.087 1
O5 O 0.115 0.194 0.730 1
O6 O 0.134 0.957 0.413 1
O7 O 0.183 0.671 0.819 1
O8 O 0.194 0.115 0.230 1
O9 O 0.269 0.508 0.307 1
O10 O 0.329 0.817 0.681 1
O11 O 0.388 0.468 0.087 1
O12 O 0.419 0.981 0.059 1
O13 O 0.427 0.000 0.624 1
O14 O 0.468 0.388 0.587 1
O15 O 0.492 0.731 0.193 1
O16 O 0.508 0.269 0.807 1
O17 O 0.532 0.612 0.413 1
O18 O 0.573 0.000 0.376 1
O19 O 0.581 0.019 0.941 1
O20 O 0.612 0.532 0.913 1
O21 O 0.671 0.183 0.319 1
O22 O 0.731 0.492 0.693 1
O23 O 0.806 0.885 0.770 1
O24 O 0.817 0.329 0.181 1
O25 O 0.866 0.043 0.587 1
O26 O 0.885 0.806 0.270 1
O27 O 0.957 0.134 0.913 1
O28 O 0.981 0.419 0.559 1
```

Peak list (10 most intense, 2θ from 10° to 80°, by angle)
| two_theta | I/Imax |
| --- | --- |
| 12.57 | 99 |
| 19.44 | 51 |
| 28.37 | 88 |
| 28.89 | 88 |
| 29.49 | 80 |
| 31.38 | 97 |
| 31.99 | 60 |
| 32.29 | 91 |
| 38.94 | 100 |
| 40.20 | 51 |